For Li9Mn2Co5O16, a PBE+U-relaxed structure gives the computed PXRD pattern in this record (Cu Kα, 1.54184 Å).
Peak positions follow from Bragg's law for the DFT cell and can differ from measured ones.

Cell and atoms:
a b c (Å): 5.103 5.804 9.772
angles (deg): 90.00 98.54 90.00
Element x y z (fractional)
Li 0.000 0.000 0.000
Li 0.240 0.240 0.246
Li 0.247 0.998 0.760
Li 0.248 0.494 0.752
Li 0.250 0.751 0.250
Li 0.750 0.751 0.750
Li 0.752 0.494 0.248
Li 0.753 0.998 0.240
Li 0.760 0.240 0.754
Mn 0.000 0.246 0.500
Mn 0.000 0.492 0.000
Co 0.000 0.746 0.500
Co 0.500 0.240 0.000
Co 0.500 0.494 0.500
Co 0.500 0.749 0.000
Co 0.500 0.997 0.500
O 0.118 0.263 0.883
O 0.119 0.999 0.384
O 0.120 0.494 0.386
O 0.156 0.731 0.892
O 0.359 0.497 0.106
O 0.378 0.746 0.616
O 0.396 0.246 0.622
O 0.397 0.991 0.109
O 0.603 0.991 0.891
O 0.604 0.246 0.378
O 0.622 0.746 0.384
O 0.641 0.497 0.894
O 0.844 0.731 0.108
O 0.880 0.494 0.614
O 0.881 0.999 0.616
O 0.882 0.263 0.117

Principal peaks in the range 2θ from 10° to 80°, low angle first:
Position (°2θ)	intensity
18.4	100
35.6	16
36.2	25
42.8	29
44.0	54
62.8	15

---

For Mo3NO9, a PBE+U-relaxed structure gives the computed PXRD pattern in this record (Cu Kα, 1.54184 Å).
Peak positions follow from Bragg's law for the DFT cell and can differ from measured ones.

Cell and atoms:
a b c (Å): 8.685 8.685 6.453
angles (deg): 93.61 93.61 53.06
Element x y z (fractional)
Mo 0.180 0.698 0.730
Mo 0.302 0.820 0.270
Mo 0.377 0.377 0.355
Mo 0.623 0.623 0.645
Mo 0.698 0.180 0.730
Mo 0.820 0.302 0.270
N 0.184 0.184 0.828
N 0.816 0.816 0.172
O 0.040 0.040 0.298
O 0.075 0.594 0.787
O 0.185 0.655 0.422
O 0.249 0.751 0.000
O 0.280 0.280 0.466
O 0.345 0.815 0.578
O 0.354 0.354 0.091
O 0.406 0.925 0.213
O 0.461 0.461 0.703
O 0.539 0.539 0.297
O 0.594 0.075 0.787
O 0.646 0.646 0.909
O 0.655 0.185 0.422
O 0.720 0.720 0.534
O 0.751 0.249 0.000
O 0.815 0.345 0.578
O 0.925 0.406 0.213
O 0.960 0.960 0.702

Principal peaks in the range 2θ from 10° to 80°, low angle first:
Position (°2θ)	intensity
11.4	100
18.5	37
26.0	34
27.7	32
28.8	39
29.6	49

---

For Na2TlVF6, a PBE+U-relaxed structure gives the computed PXRD pattern in this record (Cu Kα, 1.54184 Å).
Peak positions follow from Bragg's law for the DFT cell and can differ from measured ones.

Cell and atoms:
a b c (Å): 6.407 6.407 6.407
angles (deg): 60.00 60.00 60.00
Element x y z (fractional)
Na 0.250 0.250 0.250
Na 0.750 0.750 0.750
Tl 0.000 0.000 0.000
V 0.500 0.500 0.500
F 0.285 0.285 0.715
F 0.285 0.715 0.285
F 0.285 0.715 0.715
F 0.715 0.285 0.285
F 0.715 0.285 0.715
F 0.715 0.715 0.285

Principal peaks in the range 2θ from 10° to 80°, low angle first:
Position (°2θ)	intensity
16.9	41
19.6	100
27.8	99
32.8	44
39.8	43
44.7	41

---

For V4OF11, a PBE+U-relaxed structure gives the computed PXRD pattern in this record (Cu Kα, 1.54184 Å).
Peak positions follow from Bragg's law for the DFT cell and can differ from measured ones.

Cell and atoms:
a b c (Å): 5.242 5.454 9.116
angles (deg): 73.32 89.58 61.64
Element x y z (fractional)
V 0.000 0.000 0.000
V 0.240 0.473 0.767
V 0.494 0.989 0.505
V 0.747 0.494 0.252
O 0.167 0.252 0.911
F 0.173 0.240 0.327
F 0.227 0.738 0.878
F 0.267 0.252 0.624
F 0.320 0.744 0.178
F 0.321 0.733 0.586
F 0.667 0.245 0.826
F 0.671 0.241 0.428
F 0.721 0.742 0.378
F 0.770 0.244 0.128
F 0.823 0.748 0.075
F 0.824 0.745 0.679

Principal peaks in the range 2θ from 10° to 80°, low angle first:
Position (°2θ)	intensity
23.4	100
23.7	50
32.9	15
39.5	20
47.9	21
53.1	13

---

For VF5, a PBE+U-relaxed structure gives the computed PXRD pattern in this record (Cu Kα, 1.54184 Å).
Peak positions follow from Bragg's law for the DFT cell and can differ from measured ones.

Cell and atoms:
a b c (Å): 9.306 7.806 13.589
angles (deg): 90.00 128.60 90.00
Element x y z (fractional)
V 0.202 0.207 0.183
V 0.202 0.293 0.683
V 0.218 0.725 0.837
V 0.218 0.775 0.337
V 0.782 0.225 0.663
V 0.782 0.275 0.163
V 0.798 0.707 0.317
V 0.798 0.793 0.817
F 0.011 0.673 0.468
F 0.011 0.827 0.968
F 0.045 0.205 0.722
F 0.045 0.295 0.222
F 0.101 0.670 0.191
F 0.101 0.830 0.691
F 0.156 0.517 0.734
F 0.156 0.983 0.234
F 0.241 0.096 0.644
F 0.241 0.404 0.144
F 0.251 0.589 0.420
F 0.251 0.911 0.920
F 0.263 0.581 0.954
F 0.263 0.919 0.454
F 0.330 0.084 0.155
F 0.330 0.416 0.655
F 0.380 0.238 0.346
F 0.380 0.262 0.846
F 0.436 0.723 0.878
F 0.436 0.777 0.378
F 0.564 0.223 0.622
F 0.564 0.277 0.122
F 0.620 0.738 0.154
F 0.620 0.762 0.654
F 0.670 0.584 0.345
F 0.670 0.916 0.845
F 0.737 0.081 0.546
F 0.737 0.419 0.046
F 0.749 0.089 0.080
F 0.749 0.411 0.580
F 0.759 0.596 0.856
F 0.759 0.904 0.356
F 0.844 0.017 0.766
F 0.844 0.483 0.266
F 0.899 0.170 0.309
F 0.899 0.330 0.809
F 0.955 0.705 0.778
F 0.955 0.795 0.278
F 0.989 0.173 0.032
F 0.989 0.327 0.532

Principal peaks in the range 2θ from 10° to 80°, low angle first:
Position (°2θ)	intensity
12.2	27
16.7	39
19.1	27
20.2	100
22.3	40
22.8	34

---

For Mn2Co3P4O20, a PBE+U-relaxed structure gives the computed PXRD pattern in this record (Cu Kα, 1.54184 Å).
Peak positions follow from Bragg's law for the DFT cell and can differ from measured ones.

Cell and atoms:
a b c (Å): 9.677 9.677 9.232
angles (deg): 99.23 99.23 55.43
Element x y z (fractional)
Mn 0.152 0.202 0.379
Mn 0.202 0.152 0.879
Mn 0.798 0.848 0.121
Mn 0.848 0.798 0.621
Co 0.116 0.884 0.250
Co 0.246 0.383 0.686
Co 0.383 0.246 0.186
Co 0.617 0.754 0.814
Co 0.754 0.617 0.314
Co 0.884 0.116 0.750
P 0.093 0.590 0.366
P 0.107 0.729 0.895
P 0.271 0.893 0.605
P 0.410 0.907 0.134
P 0.590 0.093 0.866
P 0.729 0.107 0.395
P 0.893 0.271 0.105
P 0.907 0.410 0.634
O 0.021 0.143 0.224
O 0.025 0.796 0.045
O 0.055 0.613 0.530
O 0.083 0.330 0.728
O 0.132 0.559 0.837
O 0.143 0.021 0.724
O 0.179 0.674 0.337
O 0.195 0.398 0.325
O 0.204 0.975 0.455
O 0.227 0.298 0.033
O 0.273 0.719 0.917
O 0.281 0.727 0.583
O 0.298 0.227 0.533
O 0.326 0.821 0.163
O 0.330 0.083 0.228
O 0.387 0.945 0.970
O 0.391 0.414 0.665
O 0.398 0.195 0.825
O 0.414 0.391 0.165
O 0.441 0.868 0.663
O 0.559 0.132 0.337
O 0.586 0.609 0.835
O 0.602 0.805 0.175
O 0.609 0.586 0.335
O 0.613 0.055 0.030
O 0.670 0.917 0.772
O 0.674 0.179 0.837
O 0.702 0.773 0.467
O 0.719 0.273 0.417
O 0.727 0.281 0.083
O 0.773 0.702 0.967
O 0.796 0.025 0.545
O 0.805 0.602 0.675
O 0.821 0.326 0.663
O 0.857 0.979 0.276
O 0.868 0.441 0.163
O 0.917 0.670 0.272
O 0.945 0.387 0.470
O 0.975 0.204 0.955
O 0.979 0.857 0.776

Principal peaks in the range 2θ from 10° to 80°, low angle first:
Position (°2θ)	intensity
10.5	71
11.1	73
19.6	36
22.4	50
28.6	100
31.2	62

---

For Li2MnCu3O8, a PBE+U-relaxed structure gives the computed PXRD pattern in this record (Cu Kα, 1.54184 Å).
Peak positions follow from Bragg's law for the DFT cell and can differ from measured ones.

Cell and atoms:
a b c (Å): 8.307 8.307 8.307
angles (deg): 90.00 90.00 90.00
Element x y z (fractional)
Li 0.002 0.498 0.502
Li 0.248 0.748 0.752
Li 0.252 0.252 0.252
Li 0.498 0.502 0.002
Li 0.502 0.002 0.498
Li 0.748 0.752 0.248
Li 0.752 0.248 0.748
Li 0.998 0.998 0.998
Mn 0.125 0.875 0.375
Mn 0.375 0.125 0.875
Mn 0.625 0.625 0.625
Mn 0.875 0.375 0.125
Cu 0.122 0.625 0.128
Cu 0.125 0.372 0.878
Cu 0.128 0.122 0.625
Cu 0.372 0.878 0.125
Cu 0.375 0.628 0.378
Cu 0.378 0.375 0.628
Cu 0.622 0.875 0.872
Cu 0.625 0.128 0.122
Cu 0.628 0.378 0.375
Cu 0.872 0.622 0.875
Cu 0.875 0.872 0.622
Cu 0.878 0.125 0.372
O 0.107 0.386 0.117
O 0.107 0.607 0.893
O 0.114 0.883 0.607
O 0.117 0.107 0.386
O 0.133 0.864 0.143
O 0.136 0.643 0.367
O 0.143 0.133 0.864
O 0.143 0.357 0.643
O 0.357 0.643 0.143
O 0.357 0.867 0.364
O 0.364 0.357 0.867
O 0.367 0.136 0.643
O 0.383 0.893 0.886
O 0.386 0.117 0.107
O 0.393 0.393 0.393
O 0.393 0.614 0.617
O 0.607 0.114 0.883
O 0.607 0.893 0.107
O 0.614 0.617 0.393
O 0.617 0.393 0.614
O 0.633 0.636 0.857
O 0.636 0.857 0.633
O 0.643 0.143 0.357
O 0.643 0.367 0.136
O 0.857 0.633 0.636
O 0.857 0.857 0.857
O 0.864 0.143 0.133
O 0.867 0.364 0.357
O 0.883 0.607 0.114
O 0.886 0.383 0.893
O 0.893 0.107 0.607
O 0.893 0.886 0.383

Principal peaks in the range 2θ from 10° to 80°, low angle first:
Position (°2θ)	intensity
18.5	100
35.9	49
37.5	16
43.6	53
57.7	20
63.3	32

---

For Fe4O3F5, a PBE+U-relaxed structure gives the computed PXRD pattern in this record (Cu Kα, 1.54184 Å).
Peak positions follow from Bragg's law for the DFT cell and can differ from measured ones.

Cell and atoms:
a b c (Å): 4.827 5.747 10.491
angles (deg): 95.37 90.68 92.85
Element x y z (fractional)
Fe 0.000 0.000 0.000
Fe 0.000 0.500 0.500
Fe 0.030 0.245 0.761
Fe 0.423 0.755 0.748
Fe 0.500 0.000 0.500
Fe 0.500 0.500 0.000
Fe 0.577 0.245 0.252
Fe 0.970 0.755 0.239
O 0.192 0.986 0.827
O 0.296 0.717 0.574
O 0.302 0.481 0.834
O 0.698 0.519 0.166
O 0.704 0.283 0.426
O 0.808 0.014 0.173
F 0.183 0.229 0.581
F 0.183 0.495 0.324
F 0.209 0.714 0.079
F 0.298 0.983 0.313
F 0.310 0.232 0.082
F 0.690 0.768 0.918
F 0.702 0.017 0.687
F 0.791 0.286 0.921
F 0.817 0.505 0.676
F 0.817 0.771 0.419

Principal peaks in the range 2θ from 10° to 80°, low angle first:
Position (°2θ)	intensity
25.4	100
26.8	89
34.3	49
34.6	23
52.2	29
65.3	23